This entry pairs a crystal structure of RbLi7Ni2O6 with its computed powder X-ray diffraction pattern. Radiation: λ = 1.5418 Å (Cu Kα). Structure: DFT lattice parameters and positions (PBE+U).
Peak positions follow from Bragg's law for the DFT cell and can differ from measured ones.

Cell lengths 5.366, 5.366, 10.063 Å; angles 92.30, 92.30, 40.18 degrees
Fractional coordinates of all 16 atoms:
Rb (0.000, 0.000, 0.000)
Li (0.169, 0.169, 0.270)
Li (0.246, 0.246, 0.585)
Li (0.269, 0.269, 0.900)
Li (0.500, 0.500, 0.500)
Li (0.731, 0.731, 0.100)
Li (0.754, 0.754, 0.415)
Li (0.831, 0.831, 0.730)
Ni (0.421, 0.421, 0.253)
Ni (0.579, 0.579, 0.747)
O (0.303, 0.303, 0.107)
O (0.329, 0.329, 0.411)
O (0.395, 0.395, 0.740)
O (0.605, 0.605, 0.260)
O (0.671, 0.671, 0.589)
O (0.697, 0.697, 0.893)

The 6 most intense peaks (15 to 90 degrees two-theta), by intensity:
- 3.288 Å, 2θ 27.12, rel. 100
- 2.871 Å, 2θ 31.16, rel. 100
- 4.427 Å, 2θ 20.06, rel. 98
- 2.831 Å, 2θ 31.60, rel. 93
- 2.427 Å, 2θ 37.04, rel. 56
- 5.033 Å, 2θ 17.62, rel. 55

This entry pairs a crystal structure of Rb5LiSi2NiO8 with its computed powder X-ray diffraction pattern. Radiation: λ = 1.5418 Å (Cu Kα). Structure: DFT lattice parameters and positions (PBE+U).
Peak positions follow from Bragg's law for the DFT cell and can differ from measured ones.

Cell lengths 6.808, 6.808, 13.943 Å; angles 97.34, 97.34, 99.87 degrees
Fractional coordinates of all 34 atoms:
Rb (0.040, 0.406, 0.850)
Rb (0.134, 0.866, 0.750)
Rb (0.244, 0.541, 0.428)
Rb (0.406, 0.040, 0.350)
Rb (0.459, 0.756, 0.072)
Rb (0.541, 0.244, 0.928)
Rb (0.594, 0.960, 0.650)
Rb (0.756, 0.459, 0.572)
Rb (0.866, 0.134, 0.250)
Rb (0.960, 0.594, 0.150)
Li (0.460, 0.540, 0.750)
Li (0.540, 0.460, 0.250)
Si (0.221, 0.281, 0.630)
Si (0.281, 0.221, 0.130)
Si (0.719, 0.779, 0.870)
Si (0.779, 0.719, 0.370)
Ni (0.000, 0.000, 0.000)
Ni (0.000, 0.000, 0.500)
O (0.020, 0.839, 0.379)
O (0.159, 0.271, 0.026)
O (0.161, 0.980, 0.121)
O (0.245, 0.359, 0.229)
O (0.250, 0.526, 0.632)
O (0.271, 0.159, 0.526)
O (0.359, 0.245, 0.729)
O (0.474, 0.750, 0.868)
O (0.526, 0.250, 0.132)
O (0.641, 0.755, 0.271)
O (0.729, 0.841, 0.474)
O (0.750, 0.474, 0.368)
O (0.755, 0.641, 0.771)
O (0.839, 0.020, 0.879)
O (0.841, 0.729, 0.974)
O (0.980, 0.161, 0.621)

The 6 most intense peaks (15 to 90 degrees two-theta), by intensity:
- 3.000 Å, 2θ 29.78, rel. 100
- 3.512 Å, 2θ 25.36, rel. 56
- 3.113 Å, 2θ 28.67, rel. 55
- 2.813 Å, 2θ 31.81, rel. 46
- 2.977 Å, 2θ 30.02, rel. 46
- 2.420 Å, 2θ 37.15, rel. 40

This entry pairs a crystal structure of LiNiS2O8 with its computed powder X-ray diffraction pattern. Radiation: λ = 1.5418 Å (Cu Kα). Structure: DFT lattice parameters and positions (PBE+U).
Peak positions follow from Bragg's law for the DFT cell and can differ from measured ones.

Cell lengths 8.363, 8.368, 8.998 Å; angles 90.32, 117.49, 119.76 degrees
Fractional coordinates of all 36 atoms:
Li (0.000, 0.000, 0.000)
Li (0.234, 0.403, 0.304)
Li (0.751, 0.320, 0.997)
Ni (0.241, 0.902, 0.824)
Ni (0.622, 0.597, 0.905)
Ni (0.652, 0.107, 0.438)
S (0.143, 0.506, 0.620)
S (0.143, 0.716, 0.112)
S (0.432, 0.201, 0.620)
S (0.441, 0.292, 0.117)
S (0.719, 0.993, 0.113)
S (0.742, 0.801, 0.622)
O (0.060, 0.517, 0.120)
O (0.126, 0.466, 0.451)
O (0.189, 0.725, 0.968)
O (0.226, 0.714, 0.667)
O (0.256, 0.096, 0.974)
O (0.269, 0.069, 0.663)
O (0.297, 0.468, 0.758)
O (0.317, 0.238, 0.459)
O (0.326, 0.374, 0.127)
O (0.341, 0.857, 0.280)
O (0.544, 0.115, 0.603)
O (0.544, 0.646, 0.462)
O (0.558, 0.262, 0.283)
O (0.567, 0.038, 0.975)
O (0.597, 0.411, 0.063)
O (0.610, 0.384, 0.773)
O (0.634, 0.788, 0.063)
O (0.713, 0.796, 0.775)
O (0.750, 0.051, 0.284)
O (0.811, 0.995, 0.602)
O (0.913, 0.764, 0.661)
O (0.926, 0.117, 0.120)
O (0.932, 0.382, 0.604)
O (0.973, 0.757, 0.066)

The 6 most intense peaks (15 to 90 degrees two-theta), by intensity:
- 3.673 Å, 2θ 24.23, rel. 100
- 4.483 Å, 2θ 19.81, rel. 49
- 3.659 Å, 2θ 24.33, rel. 48
- 2.819 Å, 2θ 31.75, rel. 47
- 3.066 Å, 2θ 29.12, rel. 28
- 2.807 Å, 2θ 31.88, rel. 23